(1)
For Pm4Nd5Ho4, a cell relaxed with PBE gives the simulated PXRD pattern in this record (copper Kα).

The 8 most intense peaks (2θ = 5–70°), sorted by position:
30.20°, intensity 100, hkl 1 3 0; 34.95°, intensity 34, hkl 0 3 2; 35.13°, intensity 17, hkl 2 1 1; 50.26°, intensity 12, hkl 0 1 5; 50.37°, intensity 18, hkl 2 3 -2; 59.74°, intensity 22, hkl 1 5 -3; 59.83°, intensity 7, hkl 1 6 2; 62.78°, intensity 9, hkl 2 2 6

```
data_Pm4Nd5Ho4
_chemical_formula_sum 'Pm4 Nd5 Ho4'
_space_group_name_H-M_alt 'P -1'
_space_group_IT_number 2
_space_group_name_Hall '-P 1'
_cell_length_a 5.1086
_cell_length_b 9.5947
_cell_length_c 9.6032
_cell_angle_alpha 86.03
_cell_angle_beta 74.64
_cell_angle_gamma 74.66
loop_
_atom_site_label
_atom_site_type_symbol
_atom_site_fract_x
_atom_site_fract_y
_atom_site_fract_z
Pm1 Pm 0.0767 0.3067 0.0398
Pm2 Pm 0.3838 0.5398 0.1932
Nd1 Nd 0.0000 0.0000 0.5000
Nd2 Nd 0.3079 0.2324 0.6526
Nd3 Nd 0.4603 0.8474 0.7324
Ho1 Ho 0.1543 0.6135 0.5773
Ho2 Ho 0.2318 0.9227 0.1135
```


(2)
For Pm4Nd4Ho5, a cell relaxed with PBE gives the simulated PXRD pattern in this record (copper Kα).

The 8 most intense peaks (2θ = 5–70°), sorted by position:
30.30°, intensity 100, hkl 2 3 1; 35.07°, intensity 34, hkl 5 1 0; 35.26°, intensity 17, hkl 0 0 2; 50.44°, intensity 12, hkl 4 6 0; 50.58°, intensity 24, hkl 5 1 2; 59.98°, intensity 29, hkl 7 4 1; 60.24°, intensity 14, hkl 2 3 3; 63.03°, intensity 12, hkl 4 6 2

```
data_Pm4Nd4Ho5
_chemical_formula_sum 'Pm8 Nd8 Ho10'
_space_group_name_H-M_alt 'I 4/m'
_space_group_IT_number 87
_space_group_name_Hall '-I 4'
_cell_length_a 13.0480
_cell_length_b 13.0480
_cell_length_c 5.0905
_cell_angle_alpha 90.00
_cell_angle_beta 90.00
_cell_angle_gamma 90.00
loop_
_atom_site_label
_atom_site_type_symbol
_atom_site_fract_x
_atom_site_fract_y
_atom_site_fract_z
Pm1 Pm 0.1525 0.2286 0.0000
Nd1 Nd 0.0787 0.6165 0.0000
Ho1 Ho 0.0000 0.0000 0.0000
Ho2 Ho 0.0384 0.8106 0.5000
```


(3)
For PmNd10Ho6, a cell relaxed with PBE gives the simulated PXRD pattern in this record (copper Kα).

The 8 most intense peaks (2θ = 5–70°), sorted by position:
30.56°, intensity 40, hkl 3 -1 1; 31.43°, intensity 81, hkl 3 0 0; 31.58°, intensity 100, hkl 1 1 2; 45.15°, intensity 27, hkl 4 -2 2; 48.28°, intensity 13, hkl 3 2 1; 56.02°, intensity 26, hkl 4 1 2; 56.32°, intensity 19, hkl 2 -1 4; 61.98°, intensity 11, hkl 6 -1 1

```
data_PmNd10Ho6
_chemical_formula_sum 'Pm1 Nd10 Ho6'
_space_group_name_H-M_alt 'P -3 1 m'
_space_group_IT_number 162
_space_group_name_Hall '-P 3 2'
_cell_length_a 9.8595
_cell_length_b 9.8595
_cell_length_c 6.9251
_cell_angle_alpha 90.00
_cell_angle_beta 90.00
_cell_angle_gamma 120.00
loop_
_atom_site_label
_atom_site_type_symbol
_atom_site_fract_x
_atom_site_fract_y
_atom_site_fract_z
Pm1 Pm 0.0000 0.0000 0.0000
Nd1 Nd 0.0000 0.2765 0.3179
Nd2 Nd 0.3333 0.6667 0.0000
Nd3 Nd 0.3333 0.6667 0.5000
Ho1 Ho 0.0000 0.3705 0.8100
```


(4)
For PmNd5Ho4, a cell relaxed with PBE gives the simulated PXRD pattern in this record (copper Kα).

The 8 most intense peaks (2θ = 5–70°), sorted by position:
29.50°, intensity 23, hkl 6 0 0; 30.47°, intensity 33, hkl 4 0 -3; 30.59°, intensity 17, hkl 3 1 1; 30.83°, intensity 100, hkl 1 1 2; 31.64°, intensity 19, hkl 6 0 1; 34.00°, intensity 18, hkl 4 0 3; 35.50°, intensity 45, hkl 5 1 -1; 60.41°, intensity 20, hkl 9 1 -4

```
data_PmNd5Ho4
_chemical_formula_sum 'Pm2 Nd10 Ho8'
_space_group_name_H-M_alt 'C 1 2/m 1'
_space_group_IT_number 12
_space_group_name_Hall '-C 2y'
_cell_length_a 18.2788
_cell_length_b 3.5962
_cell_length_c 10.5688
_cell_angle_alpha 90.00
_cell_angle_beta 96.30
_cell_angle_gamma 90.00
loop_
_atom_site_label
_atom_site_type_symbol
_atom_site_fract_x
_atom_site_fract_y
_atom_site_fract_z
Pm1 Pm 0.0000 0.0000 0.0000
Nd1 Nd 0.0000 0.0000 0.5000
Nd2 Nd 0.1420 0.5000 0.2305
Nd3 Nd 0.1894 0.5000 0.5976
Ho1 Ho 0.0461 0.5000 0.7615
Ho2 Ho 0.1829 0.0000 0.9121
```